1.
Structure and simulated powder X-ray diffraction pattern of K2AgCl2F2 (a PBE-relaxed structure; λ = 1.5418 Å (Cu Kα)).
Neutral-atom scattering factors, no anomalous dispersion.

Cell and atoms:
Cell lengths 4.577, 4.577, 15.321 Å; angles 90.00, 90.00, 90.00 degrees
Space group I4/mmm (No. 139)
Asymmetric unit:
K  0.000  0.000  0.122
Ag  0.000  0.000  0.500
Cl  0.000  0.000  0.337
F  0.000  0.500  0.000

The 6 most intense peaks (2θ = 10–90°), sorted by position:
- 7.661 Å, 11.55 deg, rel. 100
- 4.385 Å, 20.25 deg, rel. 64
- 3.236 Å, 27.56 deg, rel. 94
- 2.546 Å, 35.25 deg, rel. 76
- 2.288 Å, 39.37 deg, rel. 62
- 1.703 Å, 53.84 deg, rel. 63

2.
Structure and simulated powder X-ray diffraction pattern of LiAg2Cl2F (a PBE-relaxed structure; λ = 1.5418 Å (Cu Kα)).
Neutral-atom scattering factors, no anomalous dispersion.

Cell and atoms:
Cell lengths 12.713, 7.142, 5.596 Å; angles 90.00, 90.00, 90.00 degrees
Space group Cmc2_1 (No. 36)
Asymmetric unit:
Li  0.000  0.105  0.000
Ag  0.153  0.323  0.603
Cl  0.149  0.305  0.115
F  0.000  0.117  0.669

The 6 most intense peaks (2θ = 10–90°), sorted by position:
- 4.162 Å, 21.35 deg, rel. 79
- 3.644 Å, 24.42 deg, rel. 81
- 3.571 Å, 24.94 deg, rel. 71
- 3.054 Å, 29.24 deg, rel. 76
- 2.798 Å, 31.99 deg, rel. 100
- 2.075 Å, 43.61 deg, rel. 68

Please write out number 1 again, unchanged.
Structure and simulated powder X-ray diffraction pattern of K2AgCl2F2 (a PBE-relaxed structure; λ = 1.5418 Å (Cu Kα)).
Neutral-atom scattering factors, no anomalous dispersion.

Cell and atoms:
Cell lengths 4.577, 4.577, 15.321 Å; angles 90.00, 90.00, 90.00 degrees
Space group I4/mmm (No. 139)
Asymmetric unit:
K  0.000  0.000  0.122
Ag  0.000  0.000  0.500
Cl  0.000  0.000  0.337
F  0.000  0.500  0.000

The 6 most intense peaks (2θ = 10–90°), sorted by position:
- 7.661 Å, 11.55 deg, rel. 100
- 4.385 Å, 20.25 deg, rel. 64
- 3.236 Å, 27.56 deg, rel. 94
- 2.546 Å, 35.25 deg, rel. 76
- 2.288 Å, 39.37 deg, rel. 62
- 1.703 Å, 53.84 deg, rel. 63